The following is a simulated X-ray diffraction stick pattern of CsTmMo2O8. It was derived from DFT lattice parameters and positions (GGA+U), using Cu Kα (weighted mean of Kα1 and Kα2).
No peak broadening, texture or thermal motion is included.

Structural model:
```
24
Lattice="9.7601 0.0000 0.0000 0.0000 5.0448 0.0000 -0.2859 0.0000 8.1293" Properties=species:S:1:pos:R:3 pbc="T T T"
Cs -0.0715 0.1697 2.0323
Cs -0.2144 4.8751 6.0969
Tm 4.6656 0.0059 6.0969
Tm 4.8086 5.0389 2.0323
Mo 2.8833 2.4045 3.9947
Mo 2.7403 2.6404 8.0594
Mo 6.7339 2.4045 0.0699
Mo 6.5910 2.6404 4.1345
O 1.1207 1.9781 7.9910
O 1.2637 3.0667 3.9264
O 2.9362 1.3004 5.4284
O 3.0792 3.7444 1.3637
O 3.0422 1.2988 2.5729
O 2.8993 3.7460 6.6376
O 3.9606 1.2323 8.1066
O 4.1036 3.8125 4.0420
O 5.3707 1.2323 4.0873
O 5.5136 3.8125 0.0227
O 6.5750 1.2988 1.4917
O 6.4320 3.7460 5.5563
O 6.3951 1.3004 6.7655
O 6.5380 3.7444 2.7009
O 8.2106 1.9781 4.2029
O 8.3535 3.0667 0.1382
```

Most intense lines, 2θ from 5° to 70°, in order of rising 2θ:
9.1 deg, I 59; 25.4 deg, I 99; 28.1 deg, I 30; 28.2 deg, I 100; 29.1 deg, I 29; 44.6 deg, I 15; 45.9 deg, I 21; 46.6 deg, I 23

---

The following is a simulated X-ray diffraction stick pattern of Cs4U3Mo3O20. It was derived from DFT lattice parameters and positions (GGA+U), using Cu Kα (weighted mean of Kα1 and Kα2).
No peak broadening, texture or thermal motion is included.

Structural model:
```
30
Lattice="7.7732 0.0000 0.0000 0.3350 8.0484 0.0000 1.3245 1.8111 9.6330" Properties=species:S:1:pos:R:3 pbc="T T T"
Cs 0.0000 0.0000 0.0000
Cs 1.2815 5.6803 7.4249
Cs 2.1030 4.1475 2.2989
Cs 7.5274 0.9777 4.6470
U 5.3021 7.7749 8.4462
U 5.2236 3.8793 8.5545
U 5.0799 5.7924 5.1449
Mo 3.7939 1.8957 5.9219
Mo 4.0218 8.0012 2.2212
Mo 6.0131 4.1216 1.6805
O 2.1168 2.0346 6.4445
O 2.3135 8.0936 2.6525
O 3.5283 7.4520 8.8578
O 3.5012 4.3194 9.0649
O 3.2402 5.8010 5.0557
O 3.6615 1.8720 4.1592
O 4.4707 1.8543 8.1430
O 4.8406 8.1930 6.1576
O 4.1320 6.5926 1.0908
O 4.7616 3.5168 6.1319
O 4.2144 1.3527 1.1909
O 5.2655 5.8074 7.3445
O 5.1789 7.4697 3.5338
O 5.1116 4.5022 3.2300
O 4.8356 3.9618 0.2437
O 7.0918 8.0572 8.0648
O 6.9738 3.4662 8.1466
O 6.9217 5.8201 5.0973
O 6.9914 2.6716 1.9353
O 7.1745 5.3936 1.3421
```

Most intense lines, 2θ from 5° to 70°, in order of rising 2θ:
11.5 deg, I 100; 23.1 deg, I 48; 25.4 deg, I 38; 25.9 deg, I 53; 26.4 deg, I 37; 27.7 deg, I 92; 28.0 deg, I 36; 28.7 deg, I 68

---

The following is a simulated X-ray diffraction stick pattern of CsVMo2O8. It was derived from DFT lattice parameters and positions (GGA+U), using Cu Kα (weighted mean of Kα1 and Kα2).
No peak broadening, texture or thermal motion is included.

Structural model:
```
24
Lattice="9.7207 -2.9091 0.0000 9.7207 2.9091 0.0000 -5.1788 0.0000 8.6299" Properties=species:S:1:pos:R:3 pbc="T T T"
Cs 3.5566 0.0000 2.1574
Cs 10.7060 0.0000 6.4724
V 0.0000 0.0000 0.0000
V 7.1313 0.0000 4.3149
Mo -1.9614 0.0000 6.6560
Mo 3.9119 0.0000 6.2837
Mo 10.3507 0.0000 2.3461
Mo 16.2240 0.0000 1.9739
O -3.3236 0.0000 7.8523
O 3.9369 1.4923 7.3035
O 6.5293 1.4164 2.9897
O -0.4565 0.0000 7.5592
O 2.4054 0.0000 5.3813
O 10.3257 1.4923 1.3264
O 7.7333 1.4164 5.6402
O 5.2733 0.0000 5.0893
O 8.9893 0.0000 3.5406
O 6.5293 -1.4164 2.9897
O 3.9369 -1.4923 7.3035
O 11.8572 0.0000 3.2486
O 14.7191 0.0000 1.0707
O 7.7333 -1.4164 5.6402
O 10.3257 -1.4923 1.3264
O 17.5862 0.0000 0.7776
```

Most intense lines, 2θ from 5° to 70°, in order of rising 2θ:
20.6 deg, I 100; 27.8 deg, I 53; 27.8 deg, I 19; 30.8 deg, I 55; 37.3 deg, I 12; 41.9 deg, I 19; 49.1 deg, I 19; 52.8 deg, I 16

---

The following is a simulated X-ray diffraction stick pattern of CsYMo2O8. It was derived from DFT lattice parameters and positions (GGA+U), using Cu Kα (weighted mean of Kα1 and Kα2).
No peak broadening, texture or thermal motion is included.

Structural model:
```
12
Lattice="6.1109 0.0000 0.0000 -3.0554 5.2922 0.0000 0.0000 0.0000 8.3914" Properties=species:S:1:pos:R:3 pbc="T T T"
Cs 0.0000 0.0000 0.0000
Y 0.0000 0.0000 4.1957
Mo 0.0000 3.5281 2.2680
Mo 3.0554 1.7641 6.1234
O 0.0000 1.8058 2.8350
O -1.4916 4.3893 2.8350
O 0.0000 3.5281 0.5181
O 1.5638 0.9029 5.5564
O 1.4916 4.3893 2.8350
O 3.0554 1.7641 7.8733
O 4.5470 0.9029 5.5564
O 3.0554 3.4864 5.5564
```

Most intense lines, 2θ from 5° to 70°, in order of rising 2θ:
16.8 deg, I 24; 19.8 deg, I 100; 27.1 deg, I 94; 29.2 deg, I 74; 40.3 deg, I 38; 46.7 deg, I 18; 50.6 deg, I 32; 52.9 deg, I 26

---

The following is a simulated X-ray diffraction stick pattern of CsYMo2O8. It was derived from DFT lattice parameters and positions (GGA+U), using Cu Kα (weighted mean of Kα1 and Kα2).
No peak broadening, texture or thermal motion is included.

Structural model:
```
24
Lattice="5.1205 0.0000 0.0000 0.0000 9.6493 0.0000 0.0000 0.0000 8.2302" Properties=species:S:1:pos:R:3 pbc="T T T"
Cs 0.0000 0.0000 2.0575
Cs 0.0000 0.0000 6.1726
Y 0.0000 4.8247 2.0575
Y 0.0000 4.8247 6.1726
Mo 2.4390 2.9679 0.0000
Mo 2.4390 6.6814 4.1151
Mo 2.6815 2.9679 4.1151
Mo 2.6815 6.6814 0.0000
O 1.2725 4.1982 4.1151
O 1.2725 5.4511 0.0000
O 1.3360 3.0425 1.4378
O 1.3360 3.0425 6.7924
O 1.3360 6.6068 2.6773
O 1.3360 6.6068 5.5529
O 1.9916 1.3610 4.1151
O 1.9916 8.2884 0.0000
O 3.1289 1.3610 0.0000
O 3.1289 8.2884 4.1151
O 3.7844 3.0425 2.6773
O 3.7844 3.0425 5.5529
O 3.7844 6.6068 1.4378
O 3.7844 6.6068 6.7924
O 3.8480 4.1982 0.0000
O 3.8480 5.4511 4.1151
```

Most intense lines, 2θ from 5° to 70°, in order of rising 2θ:
9.2 deg, I 16; 25.4 deg, I 81; 27.8 deg, I 100; 28.5 deg, I 44; 35.0 deg, I 12; 44.0 deg, I 13; 45.8 deg, I 37; 51.5 deg, I 22